Computed PXRD pattern
Compound: Cs7BiH2Br2
Radiation: λ = 1.5418 Å (Cu Kα)
Structure: a structure optimized by DFT (PBE)

Most intense lines, 2θ = 10–90°, low angle first:
2θ (°)  Rel. int.
23.00  100
25.53  48
25.99  52
27.95  65
36.75  36
43.49  16
44.09  18
47.08  14

Atomic structure:
```
Cs7BiH2Br2
1.0
-3.428 12.637 3.489
3.428 -12.637 3.489
3.428 12.637 -3.489
Cs Bi H Br
7 1 2 2
Cartesian
0.000 0.000 0.000 Cs
3.428 2.445 -0.628 Cs
3.428 -6.868 3.033 Cs
3.428 10.188 -0.290 Cs
0.000 2.449 3.199 Cs
3.428 6.868 3.033 Cs
0.000 10.192 2.862 Cs
3.428 0.000 2.788 Bi
3.428 -9.780 2.793 H
3.428 9.780 2.793 H
3.428 6.367 -0.459 Br
0.000 6.270 3.030 Br
```